1.
For NbO2F, the PBE geometry in the Materials Project gives the calculated powder diffractogram in this record (Cu Kα X-rays).
No peak broadening, texture or thermal motion is included.

Largest 6 diffraction maxima, low angle first, 5 to 70 degrees two-theta:
| Position (°2θ) | I_rel |
| --- | --- |
| 22.6 | 100 |
| 23.2 | 48 |
| 32.3 | 22 |
| 32.9 | 17 |
| 46.2 | 21 |
| 52.7 | 19 |

Atomic structure:
Unit cell a=5.6250 b=5.5055 c=7.6763 alpha=90.00 beta=91.66 gamma=90.00
Space group P2/c (No. 13)
Unique sites:
Nb (0.0000, 0.0000, 0.0000) x2
Nb (0.5000, 0.5000, 0.0000) x2
O (0.0000, 0.0679, 0.2500) x2
O (0.2198, 0.2804, 0.9701) x4
O (0.5000, 0.4320, 0.2500) x2
F (0.2949, 0.2052, 0.5497) x4

2.
For Nb3O7F, the PBE geometry in the Materials Project gives the calculated powder diffractogram in this record (Cu Kα X-rays).
No peak broadening, texture or thermal motion is included.

Largest 6 diffraction maxima, low angle first, 5 to 70 degrees two-theta:
| Position (°2θ) | I_rel |
| --- | --- |
| 22.3 | 100 |
| 23.2 | 78 |
| 25.3 | 54 |
| 31.2 | 44 |
| 32.4 | 30 |
| 34.0 | 26 |

Atomic structure:
Unit cell a=3.9011 b=21.0811 c=3.9893 alpha=90.00 beta=90.00 gamma=90.00
Space group Cmmm (No. 65)
Unique sites:
Nb (0.0000, 0.0000, 0.0000) x2
Nb (0.0000, 0.1845, 0.0000) x4
O (0.0000, 0.0930, 0.0000) x4
O (0.0000, 0.1855, 0.5000) x4
O (0.0000, 0.2907, 0.0000) x4
O (0.0000, 0.5000, 0.0000) x2
F (0.0000, 0.0000, 0.5000) x2

3.
For Nb5OF14, the PBE geometry in the Materials Project gives the calculated powder diffractogram in this record (Cu Kα X-rays).
No peak broadening, texture or thermal motion is included.

Largest 6 diffraction maxima, low angle first, 5 to 70 degrees two-theta:
| Position (°2θ) | I_rel |
| --- | --- |
| 21.3 | 100 |
| 21.5 | 48 |
| 30.4 | 33 |
| 43.3 | 25 |
| 48.7 | 20 |
| 48.8 | 20 |

Atomic structure:
Unit cell a=5.8748 b=7.2080 c=9.3339 alpha=74.52 beta=71.84 gamma=89.41
Space group P-1 (No. 2)
Unique sites:
Nb (0.0000, 0.0000, 0.0000) x1
Nb (0.1867, 0.8163, 0.5909) x2
Nb (0.4035, 0.5962, 0.2014) x2
O (0.0000, 0.0000, 0.5000) x1
F (0.0963, 0.3991, 0.3010) x2
F (0.1015, 0.8986, 0.7988) x2
F (0.2005, 0.7999, 0.1004) x2
F (0.2975, 0.1994, 0.9006) x2
F (0.3003, 0.6990, 0.4001) x2
F (0.3952, 0.6054, 0.6974) x2
F (0.5000, 0.0000, 0.5000) x1
F (0.5000, 0.5000, 0.0000) x1

4.
For Nb3O2F5, the PBE geometry in the Materials Project gives the calculated powder diffractogram in this record (Cu Kα X-rays).
No peak broadening, texture or thermal motion is included.

Largest 6 diffraction maxima, low angle first, 5 to 70 degrees two-theta:
| Position (°2θ) | I_rel |
| --- | --- |
| 12.7 | 30 |
| 13.2 | 100 |
| 18.2 | 22 |
| 25.6 | 28 |
| 32.4 | 21 |
| 40.1 | 36 |

Atomic structure:
Unit cell a=8.1537 b=13.4113 c=6.0692 alpha=90.00 beta=90.00 gamma=90.00
Space group Pnnm (No. 58)
Unique sites:
Nb (0.0198, 0.1285, 0.0000) x4
Nb (0.2379, 0.2377, 0.2197) x8
O (0.0111, 0.7691, 0.2439) x8
F (0.0000, 0.0000, 0.2078) x4
F (0.2039, 0.6127, 0.5000) x4
F (0.2119, 0.3568, 0.0000) x4
F (0.2306, 0.6433, 0.0000) x4
F (0.2413, 0.3493, 0.5000) x4

5.
For Nb2OF8, the PBE geometry in the Materials Project gives the calculated powder diffractogram in this record (Cu Kα X-rays).
No peak broadening, texture or thermal motion is included.

Largest 6 diffraction maxima, low angle first, 5 to 70 degrees two-theta:
| Position (°2θ) | I_rel |
| --- | --- |
| 16.2 | 73 |
| 17.0 | 61 |
| 19.1 | 100 |
| 19.5 | 60 |
| 23.4 | 51 |
| 42.7 | 42 |

Atomic structure:
Unit cell a=9.3901 b=5.4574 c=15.6964 alpha=90.00 beta=104.36 gamma=90.00
Space group P2/c (No. 13)
Unique sites:
Nb (0.0361, 0.0664, 0.1553) x4
Nb (0.4066, 0.1987, 0.6229) x4
O (0.2050, 0.0555, 0.6396) x4
F (0.0000, 0.1918, 0.7500) x2
F (0.0269, 0.3763, 0.1018) x4
F (0.1044, 0.1039, 0.9315) x4
F (0.1349, 0.1975, 0.2796) x4
F (0.3032, 0.3271, 0.5142) x4
F (0.3606, 0.4584, 0.6923) x4
F (0.4052, 0.3047, 0.8821) x4
F (0.4325, 0.1241, 0.0842) x4
F (0.5000, 0.0502, 0.7500) x2

6.
For NbO2F, the PBE geometry in the Materials Project gives the calculated powder diffractogram in this record (Cu Kα X-rays).
No peak broadening, texture or thermal motion is included.

Largest 6 diffraction maxima, low angle first, 5 to 70 degrees two-theta:
| Position (°2θ) | I_rel |
| --- | --- |
| 21.9 | 100 |
| 23.0 | 48 |
| 32.0 | 34 |
| 44.7 | 20 |
| 50.9 | 16 |
| 52.4 | 16 |

Atomic structure:
Unit cell a=7.7363 b=17.0396 c=5.7855 alpha=90.00 beta=90.00 gamma=90.00
Space group Imma (No. 74)
Unique sites:
Nb (0.0000, 0.0830, 0.2307) x8
Nb (0.0000, 0.2500, 0.6832) x4
O (0.0000, 0.0000, 0.0000) x4
O (0.0000, 0.1649, 0.4811) x8
O (0.2500, 0.0813, 0.2500) x8
O (0.2500, 0.2500, 0.7500) x4
F (0.0000, 0.0000, 0.5000) x4
F (0.0000, 0.1679, 0.9950) x8

7.
For Nb2O2F3, the PBE geometry in the Materials Project gives the calculated powder diffractogram in this record (Cu Kα X-rays).
No peak broadening, texture or thermal motion is included.

Largest 6 diffraction maxima, low angle first, 5 to 70 degrees two-theta:
| Position (°2θ) | I_rel |
| --- | --- |
| 14.3 | 35 |
| 22.9 | 100 |
| 27.9 | 58 |
| 35.7 | 26 |
| 50.2 | 26 |
| 51.2 | 19 |

Atomic structure:
Unit cell a=13.1948 b=5.2523 c=5.8064 alpha=90.00 beta=109.93 gamma=90.00
Space group C2/c (No. 15)
Unique sites:
Nb (0.1599, 0.2442, 0.3133) x8
O (0.2014, 0.0427, 0.6405) x8
F (0.0000, 0.1092, 0.2500) x4
F (0.1038, 0.4502, 0.9715) x8